[1]
Diffraction record for HfScGaRu. The powder X-ray diffraction pattern is theoretical, not measured: it uses a PBE-relaxed structure and copper Kα.
Lines closer than 0.1° are merged.

Cell and atoms:
Cell lengths 3.2762, 3.2762, 6.6448 Å; angles 90.00, 90.00, 90.00 degrees
Sites, in units of the cell vectors:
Hf  0.0000  0.0000  0.0000
Sc  0.0000  0.0000  0.5250
Ga  0.5000  0.5000  0.2643
Ru  0.5000  0.5000  0.7707

Most intense lines, 5 to 70 degrees two-theta, in order of rising 2θ:
- d 6.645, I 42
- d 2.938, I 19
- d 2.333, I 100
- d 2.317, I 50
- d 2.187, I 11
- d 1.835, I 8
- d 1.661, I 8
- d 1.638, I 17
- d 1.431, I 5
- d 1.350, I 16

[2]
Diffraction record for Hf2GaS. The powder X-ray diffraction pattern is theoretical, not measured: it uses a PBE-relaxed structure and copper Kα.
Lines closer than 0.1° are merged.

Cell and atoms:
Cell lengths 7.6190, 7.6190, 7.6190 Å; angles 25.95, 25.95, 25.95 degrees
Sites, in units of the cell vectors:
Hf  0.0000  0.0000  0.0000
Hf  0.1890  0.1890  0.1890
Ga  0.4269  0.4269  0.4269
S  0.5945  0.5945  0.5945

Most intense lines, 5 to 70 degrees two-theta, in order of rising 2θ:
- d 3.679, I 24
- d 2.937, I 48
- d 2.862, I 17
- d 2.611, I 46
- d 2.461, I 100
- d 2.160, I 26
- d 1.770, I 24
- d 1.711, I 39
- d 1.551, I 13
- d 1.404, I 29

[3]
Diffraction record for Hf2GaS. The powder X-ray diffraction pattern is theoretical, not measured: it uses a PBE-relaxed structure and copper Kα.
Lines closer than 0.1° are merged.

Cell and atoms:
Cell lengths 6.4975, 6.4975, 6.4975 Å; angles 33.53, 33.53, 33.53 degrees
Sites, in units of the cell vectors:
Hf  0.2465  0.2465  0.2465
Hf  0.7535  0.7535  0.7535
Ga  0.0000  0.0000  0.0000
S  0.5000  0.5000  0.5000

Most intense lines, 5 to 70 degrees two-theta, in order of rising 2θ:
- d 3.197, I 2
- d 3.061, I 55
- d 2.651, I 100
- d 2.433, I 2
- d 2.042, I 1
- d 1.875, I 72
- d 1.599, I 25
- d 1.531, I 24
- d 1.485, I 1
- d 1.381, I 2

[4]
Diffraction record for HfGa2S4. The powder X-ray diffraction pattern is theoretical, not measured: it uses a PBE-relaxed structure and copper Kα.
Lines closer than 0.1° are merged.

Cell and atoms:
Cell lengths 6.0954, 6.0954, 6.0954 Å; angles 105.75, 105.75, 117.21 degrees
Sites, in units of the cell vectors:
Hf  0.0000  0.0000  0.0000
Ga  0.2500  0.7500  0.5000
Ga  0.7500  0.2500  0.5000
S  0.1477  0.3131  0.4608
S  0.3131  0.8523  0.1654
S  0.6869  0.1477  0.8346
S  0.8523  0.6869  0.5392

Most intense lines, 5 to 70 degrees two-theta, in order of rising 2θ:
- d 4.808, I 100
- d 3.679, I 47
- d 2.922, I 54
- d 2.711, I 56
- d 2.601, I 36
- d 2.288, I 12
- d 1.943, I 20
- d 1.877, I 65
- d 1.718, I 15
- d 1.645, I 19

[5]
Diffraction record for Hf4GaSb3. The powder X-ray diffraction pattern is theoretical, not measured: it uses a PBE-relaxed structure and copper Kα.
Lines closer than 0.1° are merged.

Cell and atoms:
Cell lengths 5.4703, 10.9467, 5.9349 Å; angles 90.00, 90.00, 90.00 degrees
Sites, in units of the cell vectors:
Hf  0.2500  0.0012  0.1523
Hf  0.2500  0.2500  0.8732
Hf  0.2500  0.4988  0.1523
Hf  0.2500  0.7500  0.8445
Hf  0.7500  0.2500  0.1555
Hf  0.7500  0.5012  0.8477
Hf  0.7500  0.7500  0.1268
Hf  0.7500  0.9988  0.8477
Ga  0.2500  0.2500  0.3440
Ga  0.7500  0.7500  0.6560
Sb  0.2500  0.0062  0.6628
Sb  0.2500  0.4938  0.6628
Sb  0.2500  0.7500  0.3391
Sb  0.7500  0.2500  0.6609
Sb  0.7500  0.5062  0.3372
Sb  0.7500  0.9938  0.3372

Most intense lines, 5 to 70 degrees two-theta, in order of rising 2θ:
- d 5.935, I 8
- d 3.241, I 7
- d 2.967, I 6
- d 2.736, I 87
- d 2.355, I 100
- d 2.011, I 8
- d 1.935, I 32
- d 1.495, I 48
- d 1.385, I 8
- d 1.368, I 10

[6]
Diffraction record for Hf2GaSb2. The powder X-ray diffraction pattern is theoretical, not measured: it uses a PBE-relaxed structure and copper Kα.
Lines closer than 0.1° are merged.

Cell and atoms:
Cell lengths 7.6072, 7.6072, 3.9130 Å; angles 90.00, 90.00, 90.00 degrees
Sites, in units of the cell vectors:
Hf  0.1511  0.3489  0.0000
Hf  0.3489  0.8489  0.0000
Hf  0.6511  0.1511  0.0000
Hf  0.8489  0.6511  0.0000
Ga  0.0000  0.0000  0.0000
Ga  0.5000  0.5000  0.0000
Sb  0.1502  0.6502  0.5000
Sb  0.3498  0.1502  0.5000
Sb  0.6502  0.8498  0.5000
Sb  0.8498  0.3498  0.5000

Most intense lines, 5 to 70 degrees two-theta, in order of rising 2θ:
- d 5.379, I 13
- d 3.913, I 6
- d 2.567, I 100
- d 2.406, I 33
- d 1.956, I 12
- d 1.902, I 8
- d 1.793, I 9
- d 1.669, I 11
- d 1.518, I 15
- d 1.364, I 5